Structure and simulated X-ray powder pattern of DySiHO4 (a PBE-relaxed structure; Cu Kα (λ = 1.5418 Å)).
Kinematic intensities with the Lorentz-polarization factor, no thermal factor.

The 6 most intense peaks (15° ≤ 2θ ≤ 90°), by angle:
hkl 3 -1 1, d 4.135, 21.5 deg, intensity 100
hkl 4 -3 1, d 3.225, 27.7 deg, intensity 37
hkl 3 -2 2, d 3.128, 28.5 deg, intensity 32
hkl 4 1 0, d 2.756, 32.5 deg, intensity 68
hkl 3 2 1, d 2.734, 32.8 deg, intensity 42
hkl 1 1 3, d 2.582, 34.7 deg, intensity 31

```
data_DySiHO4
_chemical_formula_sum 'Dy18 Si18 H18 O72'
_cell_length_a 14.5791
_cell_length_b 14.5791
_cell_length_c 8.2821
_cell_angle_alpha 90.00
_cell_angle_beta 90.00
_cell_angle_gamma 120.00
_space_group_name_H-M_alt 'R 3'
_space_group_IT_number 146
_space_group_name_Hall 'R 3'
loop_
_atom_site_label
_atom_site_type_symbol
_atom_site_fract_x
_atom_site_fract_y
_atom_site_fract_z
Dy1 Dy 0.0029 0.2311 0.0000
Dy2 Dy 0.0540 0.7954 0.5652
Si1 Si 0.1345 0.6721 0.8367
Si2 Si 0.1409 0.4238 0.3128
H1 H 0.0586 0.7988 0.9184
H2 H 0.1734 0.0682 0.3998
O1 O 0.0020 0.3762 0.8838
O2 O 0.0414 0.7048 0.8074
O3 O 0.0661 0.8536 0.0029
O4 O 0.0705 0.2410 0.7180
O5 O 0.0717 0.8463 0.3207
O6 O 0.1789 0.0880 0.5175
O7 O 0.1934 0.0836 0.1808
O8 O 0.1951 0.4038 0.4724
```